Record 1
Diffraction record for NdHoCu2Bi4. The powder X-ray diffraction pattern is simulated, not measured: it uses a crystal structure in OQMD, relaxed with PBE and Cu Kα.
Lines closer than 0.1° are merged.

Most intense lines, 10° ≤ 2θ ≤ 90°, by angle:
Position (°2θ)  d_spacing  intensity
26.8  3.328  15
27.4  3.252  22
29.2  3.056  34
33.4  2.686  100
39.6  2.275  47
48.9  1.864  19
50.9  1.793  12
57.3  1.609  16
66.4  1.409  11
67.9  1.380  26

Cell and atoms:
a = 4.5505 Å, b = 4.5505 Å, c = 9.7571 Å
α = 90.00°, β = 90.00°, γ = 90.00°
Fractional coordinates of all 8 atoms:
Nd1 0.0000 0.0000 0.0000
Ho1 0.5000 0.5000 0.5281
Cu1 0.0000 0.5000 0.7555
Cu2 0.5000 0.0000 0.7555
Bi1 0.0000 0.0000 0.5933
Bi2 0.0000 0.5000 0.2680
Bi3 0.5000 0.0000 0.2680
Bi4 0.5000 0.5000 0.9203



Record 2
Diffraction record for Cu5Ag4. The powder X-ray diffraction pattern is simulated, not measured: it uses a crystal structure in OQMD, relaxed with PBE and Cu Kα.
Lines closer than 0.1° are merged.

Most intense lines, 10° ≤ 2θ ≤ 90°, by angle:
Position (°2θ)  d_spacing  intensity
34.9  2.571  24
39.7  2.271  16
40.0  2.256  79
41.1  2.198  100
44.3  2.045  58
52.5  1.744  24
66.0  1.415  11
71.0  1.327  38
80.1  1.199  18
89.1  1.099  11

Cell and atoms:
a = 13.5027 Å, b = 13.5027 Å, c = 13.5027 Å
α = 167.97°, β = 165.16°, γ = 19.15°
Fractional coordinates of all 9 atoms:
Cu1 0.0000 0.0000 0.0000
Cu2 0.0943 0.0943 0.0000
Cu3 0.3417 0.3417 0.0000
Cu4 0.4535 0.4535 0.0000
Cu5 0.5479 0.5479 0.0000
Ag1 0.2182 0.2182 0.0000
Ag2 0.6511 0.6511 0.0000
Ag3 0.7855 0.7855 0.0000
Ag4 0.8971 0.8971 0.0000